# 1
Structure and simulated powder XRD pattern of NdDy2Er2Mg2 (a structure optimized by DFT (GGA-PBE); CuKα).

Structure:
a = 8.609 Å, b = 8.609 Å, c = 8.609 Å
α = 36.96°, β = 36.96°, γ = 36.96°
Fractional positions:
Nd  0.000  0.000  0.000
Dy  0.428  0.428  0.428
Dy  0.572  0.572  0.572
Er  0.156  0.156  0.156
Er  0.844  0.844  0.844
Mg  0.289  0.289  0.289
Mg  0.711  0.711  0.711

Top 10 peaks for 15° ≤ 2θ ≤ 90°, by angle:
2θ/deg	I (rel.)
20.19	14
26.45	31
32.22	92
32.82	100
46.66	33
57.06	28
58.22	34
58.60	19
77.03	17
78.03	15

***

# 2
Structure and simulated powder XRD pattern of Li21Ca2Zn6 (a structure optimized by DFT (GGA-PBE); CuKα).

Structure:
a = 9.437 Å, b = 9.437 Å, c = 9.437 Å
α = 60.00°, β = 60.00°, γ = 60.00°
Fractional positions:
Li  0.000  0.000  0.000
Li  0.000  0.000  0.348
Li  0.000  0.000  0.652
Li  0.000  0.348  0.000
Li  0.000  0.348  0.652
Li  0.000  0.652  0.000
Li  0.000  0.652  0.348
Li  0.173  0.609  0.609
Li  0.348  0.000  0.000
Li  0.348  0.000  0.652
Li  0.348  0.652  0.000
Li  0.391  0.391  0.391
Li  0.391  0.391  0.827
Li  0.391  0.827  0.391
Li  0.609  0.173  0.609
Li  0.609  0.609  0.173
Li  0.609  0.609  0.609
Li  0.652  0.000  0.000
Li  0.652  0.000  0.348
Li  0.652  0.348  0.000
Li  0.827  0.391  0.391
Ca  0.250  0.250  0.250
Ca  0.750  0.750  0.750
Zn  0.262  0.262  0.738
Zn  0.262  0.738  0.262
Zn  0.262  0.738  0.738
Zn  0.738  0.262  0.262
Zn  0.738  0.262  0.738
Zn  0.738  0.738  0.262

Top 10 peaks for 15° ≤ 2θ ≤ 90°, by angle:
2θ/deg	I (rel.)
23.09	100
26.72	52
38.15	48
45.06	54
47.18	14
60.48	19
62.22	15
68.94	14
73.79	11
86.24	12

***

# 3
Structure and simulated powder XRD pattern of Pm3TmH8 (a structure optimized by DFT (GGA-PBE); CuKα).

Structure:
a = 5.321 Å, b = 5.321 Å, c = 5.321 Å
α = 90.00°, β = 90.00°, γ = 90.00°
Fractional positions:
Pm  0.000  0.000  0.500
Pm  0.000  0.500  0.000
Pm  0.500  0.000  0.000
Tm  0.500  0.500  0.500
H  0.259  0.259  0.259
H  0.259  0.259  0.741
H  0.259  0.741  0.259
H  0.259  0.741  0.741
H  0.741  0.259  0.259
H  0.741  0.259  0.741
H  0.741  0.741  0.259
H  0.741  0.741  0.741

Top 8 peaks for 15° ≤ 2θ ≤ 90°, by angle:
2θ/deg	I (rel.)
29.07	100
33.69	49
48.38	38
57.44	44
60.25	13
70.84	6
78.33	18
80.77	16

***

# 4
Structure and simulated powder XRD pattern of Pr2Sm4Y7 (a structure optimized by DFT (GGA-PBE); CuKα).

Structure:
a = 6.252 Å, b = 6.252 Å, c = 11.415 Å
α = 89.95°, β = 79.59°, γ = 80.37°
Fractional positions:
Pr  0.154  0.308  0.383
Pr  0.846  0.692  0.617
Sm  0.307  0.615  0.770
Sm  0.463  0.923  0.153
Sm  0.537  0.077  0.847
Sm  0.693  0.385  0.230
Y  0.000  0.000  0.000
Y  0.078  0.154  0.693
Y  0.231  0.461  0.076
Y  0.386  0.769  0.461
Y  0.614  0.231  0.539
Y  0.769  0.539  0.924
Y  0.922  0.846  0.307

Top 10 peaks for 15° ≤ 2θ ≤ 90°, by angle:
2θ/deg	I (rel.)
30.31	100
30.36	33
35.16	67
50.57	47
60.10	51
63.04	8
82.28	13
82.40	9
84.91	11
85.00	10

***

# 5
Structure and simulated powder XRD pattern of K5Hg2 (a structure optimized by DFT (GGA-PBE); CuKα).

Structure:
a = 10.470 Å, b = 10.470 Å, c = 9.482 Å
α = 97.14°, β = 97.14°, γ = 43.41°
Fractional positions:
K  0.102  0.898  0.750
K  0.137  0.306  0.318
K  0.283  0.537  0.073
K  0.306  0.137  0.818
K  0.463  0.717  0.427
K  0.537  0.283  0.573
K  0.694  0.863  0.182
K  0.717  0.463  0.927
K  0.863  0.694  0.682
K  0.898  0.102  0.250
Hg  0.090  0.694  0.418
Hg  0.306  0.910  0.082
Hg  0.694  0.090  0.918
Hg  0.910  0.306  0.582

Top 10 peaks for 15° ≤ 2θ ≤ 90°, by angle:
2θ/deg	I (rel.)
15.90	100
18.41	32
19.40	59
19.88	29
27.01	27
28.24	23
28.60	29
29.59	24
30.56	51
31.56	23

***

# 6
Structure and simulated powder XRD pattern of TmGeHIr2 (a structure optimized by DFT (GGA-PBE); CuKα).

Structure:
a = 5.732 Å, b = 5.732 Å, c = 7.303 Å
α = 90.00°, β = 90.00°, γ = 141.61°
Fractional positions:
Tm  0.046  0.954  0.750
Tm  0.954  0.046  0.250
Ge  0.235  0.765  0.250
Ge  0.765  0.235  0.750
H  0.500  0.500  0.000
H  0.500  0.500  0.500
Ir  0.347  0.653  0.555
Ir  0.347  0.653  0.945
Ir  0.653  0.347  0.055
Ir  0.653  0.347  0.445

Top 10 peaks for 15° ≤ 2θ ≤ 90°, by angle:
2θ/deg	I (rel.)
34.41	97
35.21	100
35.37	30
36.60	43
40.63	44
41.53	36
45.12	39
48.30	35
62.47	31
64.90	22

***

# 7
Structure and simulated powder XRD pattern of Rb2Te2Au3 (a structure optimized by DFT (GGA-PBE); CuKα).

Structure:
a = 8.963 Å, b = 8.963 Å, c = 8.963 Å
α = 109.47°, β = 109.47°, γ = 109.47°
Fractional positions:
Rb  0.000  0.000  0.000
Rb  0.000  0.500  0.499
Rb  0.499  0.000  0.500
Rb  0.500  0.499  0.000
Te  0.000  0.501  0.010
Te  0.010  0.000  0.501
Te  0.488  0.488  0.488
Te  0.501  0.010  0.000
Au  0.021  0.250  0.772
Au  0.250  0.772  0.021
Au  0.478  0.749  0.728
Au  0.728  0.478  0.749
Au  0.749  0.728  0.478
Au  0.772  0.021  0.250

Top 10 peaks for 15° ≤ 2θ ≤ 90°, by angle:
2θ/deg	I (rel.)
17.14	40
21.03	69
24.33	26
27.25	42
29.91	50
32.37	33
34.67	100
36.85	27
44.65	29
49.84	67